The following is a computed powder diffractogram of CuIrPt6. It was derived from a structure optimized by DFT (GGA-PBE), using Cu Kα.

Most intense lines, 10° ≤ 2θ ≤ 90°, by angle:
d [Å]	Rel. int.
3.789	3
2.607	2
2.268	100
1.992	16
1.950	32
1.394	21
1.379	12
1.196	12
1.178	25
1.134	11

Structural model:
a = 8.431 Å, b = 8.431 Å, c = 8.431 Å
α = 153.25°, β = 153.25°, γ = 38.19°
Sites, in units of the cell vectors:
Cu 0.000 0.000 0.000
Ir 0.500 0.500 0.000
Pt 0.119 0.619 0.500
Pt 0.252 0.252 0.000
Pt 0.381 0.881 0.500
Pt 0.619 0.119 0.500
Pt 0.748 0.748 0.000
Pt 0.881 0.381 0.500

The following is a computed powder diffractogram of Ho2Tl4S5. It was derived from a structure optimized by DFT (GGA-PBE), using Cu Kα.

Most intense lines, 10° ≤ 2θ ≤ 90°, by angle:
d [Å]	Rel. int.
4.100	49
3.497	21
3.442	33
3.325	45
3.106	100
2.423	28
2.059	31
2.023	46
1.814	33
1.695	18

Structural model:
a = 24.711 Å, b = 24.711 Å, c = 24.711 Å
α = 9.39°, β = 9.39°, γ = 9.39°
Sites, in units of the cell vectors:
Ho 0.143 0.143 0.143
Ho 0.857 0.857 0.857
Tl 0.311 0.311 0.311
Tl 0.411 0.411 0.411
Tl 0.589 0.589 0.589
Tl 0.689 0.689 0.689
S 0.207 0.207 0.207
S 0.376 0.376 0.376
S 0.500 0.500 0.500
S 0.624 0.624 0.624
S 0.793 0.793 0.793

The following is a computed powder diffractogram of P2PtSe3. It was derived from a structure optimized by DFT (GGA-PBE), using Cu Kα.

Most intense lines, 10° ≤ 2θ ≤ 90°, by angle:
d [Å]	Rel. int.
4.884	31
3.508	14
2.849	88
2.736	24
2.442	100
1.754	37
1.701	29
1.477	22
1.425	18
1.106	18

Structural model:
a = 6.809 Å, b = 6.809 Å, c = 6.809 Å
α = 62.03°, β = 62.03°, γ = 62.03°
Sites, in units of the cell vectors:
P 0.000 0.000 0.000
P 0.000 0.500 0.500
P 0.500 0.000 0.500
P 0.500 0.500 0.000
Pt 0.255 0.255 0.255
Pt 0.745 0.745 0.745
Se 0.226 0.746 0.746
Se 0.254 0.254 0.774
Se 0.254 0.774 0.254
Se 0.746 0.226 0.746
Se 0.746 0.746 0.226
Se 0.774 0.254 0.254